NaRh6Se8: simulated PXRD pattern (Cu Kα), based on a cell relaxed with GGA-PBE.
No peak broadening, texture or thermal motion is included.

The 12 most intense peaks (2θ from 5° to 70°), sorted by position:
2theta	I/Imax	h k l
13.14	100	1 0 1
26.46	14	2 0 2
29.55	18	3 -1 1
32.49	65	3 -2 2
37.93	18	0 2 4
40.00	50	4 -3 1
42.32	14	3 1 2
42.54	26	2 1 4
44.57	53	2 2 3
48.93	19	3 -2 5
50.52	30	5 -3 2
58.06	17	3 2 4

a = 9.5663 Å, b = 9.5663 Å, c = 11.5760 Å
α = 90.00°, β = 90.00°, γ = 120.00°
Space group R-3 (No. 148, hexagonal axes)
Inequivalent atoms, fractional coordinates:
Na 0.0000 0.0000 0.0000 (multiplicity 3)
Rh 0.0226 0.1977 0.3831 (multiplicity 18)
Se 0.0000 0.0000 0.2387 (multiplicity 6)
Se 0.0150 0.3931 0.2477 (multiplicity 18)